[1]
# Nd2DyCu4Ge4
Calculated PXRD pattern, Cu Kα, 1.54184 Å. Input: a DFT-relaxed cell (GGA-PBE, OQMD).
Lines closer than 0.1° are merged.

Main lines, sorted by position (10° ≤ 2θ ≤ 80°):
2theta, Rel. int.
34.33, 28
34.63, 93
35.43, 100
38.01, 22
41.94, 40
45.11, 28

Structural model:
abc: 8.132 8.132 8.132
angles: 149.28 131.66 58.37
Atoms (fractional coordinates):
Nd  0.131  0.131  0.000
Nd  0.869  0.869  0.000
Dy  0.500  0.000  0.500
Cu  0.145  0.332  0.813
Cu  0.481  0.668  0.813
Cu  0.519  0.332  0.187
Cu  0.855  0.668  0.187
Ge  0.195  0.500  0.695
Ge  0.285  0.785  0.500
Ge  0.715  0.215  0.500
Ge  0.805  0.500  0.305

***

[2]
# NdDy2Cu4Sn2Ge2
Calculated PXRD pattern, Cu Kα, 1.54184 Å. Input: a DFT-relaxed cell (GGA-PBE, OQMD).
Lines closer than 0.1° are merged.

Main lines, sorted by position (10° ≤ 2θ ≤ 80°):
2theta, Rel. int.
33.41, 100
34.84, 91
37.44, 30
41.90, 39
42.82, 36
45.75, 31

Structural model:
abc: 8.311 8.311 8.311
angles: 149.93 129.79 59.64
Atoms (fractional coordinates):
Nd  0.000  0.000  0.000
Dy  0.364  0.864  0.500
Dy  0.636  0.136  0.500
Cu  0.011  0.324  0.686
Cu  0.362  0.676  0.686
Cu  0.638  0.324  0.314
Cu  0.989  0.676  0.314
Sn  0.303  0.500  0.803
Sn  0.697  0.500  0.197
Ge  0.218  0.218  0.000
Ge  0.782  0.782  0.000

***

[3]
# Tb2DyCu4Si2Ge2
Calculated PXRD pattern, Cu Kα, 1.54184 Å. Input: a DFT-relaxed cell (GGA-PBE, OQMD).
Lines closer than 0.1° are merged.

Main lines, sorted by position (10° ≤ 2θ ≤ 80°):
2theta, Rel. int.
28.41, 29
35.26, 100
36.32, 94
38.91, 31
43.49, 36
45.57, 39

Structural model:
abc: 7.971 7.971 7.971
angles: 149.74 130.98 58.70
Atoms (fractional coordinates):
Tb  0.130  0.130  0.000
Tb  0.870  0.870  0.000
Dy  0.500  0.000  0.500
Cu  0.137  0.327  0.810
Cu  0.483  0.673  0.810
Cu  0.517  0.327  0.190
Cu  0.863  0.673  0.190
Si  0.284  0.784  0.500
Si  0.716  0.216  0.500
Ge  0.193  0.500  0.693
Ge  0.807  0.500  0.307

***

[4]
# Dy2YCu4Si2Ge2
Calculated PXRD pattern, Cu Kα, 1.54184 Å. Input: a DFT-relaxed cell (GGA-PBE, OQMD).
Lines closer than 0.1° are merged.

Main lines, sorted by position (10° ≤ 2θ ≤ 80°):
2theta, Rel. int.
27.02, 16
35.21, 100
36.33, 99
39.90, 36
43.20, 35
45.69, 22

Structural model:
abc: 7.945 7.945 7.945
angles: 149.44 130.92 58.93
Atoms (fractional coordinates):
Dy  0.130  0.130  0.000
Dy  0.870  0.870  0.000
Y  0.500  0.000  0.500
Cu  0.147  0.337  0.810
Cu  0.473  0.663  0.810
Cu  0.527  0.337  0.190
Cu  0.853  0.663  0.190
Si  0.183  0.500  0.683
Si  0.817  0.500  0.317
Ge  0.283  0.783  0.500
Ge  0.717  0.217  0.500